This entry pairs a crystal structure of Cs3GeTe3 with its computed XRD peak list. Radiation: CuKα. Structure: a structure optimized by DFT (PBE).
Kinematic intensities with the Lorentz-polarization factor, no thermal factor.

Principal peaks in the range 5 to 70 degrees two-theta, most intense first:
- hkl 1 1 -3, d = 3.380 Å, 26.37 deg, I 100.0
- hkl 3 3 1, d = 3.445 Å, 25.86 deg, I 90.4
- hkl 5 1 -1, d = 3.317 Å, 26.88 deg, I 33.1
- hkl 3 1 2, d = 3.566 Å, 24.97 deg, I 24.8
- hkl 4 2 -2, d = 3.177 Å, 28.08 deg, I 22.9
- hkl 2 4 -1, d = 3.261 Å, 27.35 deg, I 22.2
- hkl 4 0 -2, d = 3.522 Å, 25.29 deg, I 21.4
- hkl 6 6 0, d = 1.871 Å, 48.67 deg, I 17.5
- hkl 6 0 -4, d = 2.046 Å, 44.28 deg, I 15.0
- hkl 2 2 4, d = 2.298 Å, 39.21 deg, I 14.3

Atomic structure:
Cell: 17.463 14.715 10.450 Å, 90.00 96.15 90.00°
Space group C2/c (No. 15)
Unique sites:
Cs  0.000  0.083  0.250 (multiplicity 4)
Cs  0.000  0.397  0.250 (multiplicity 4)
Cs  0.094  0.309  0.633 (multiplicity 8)
Cs  0.218  0.027  0.686 (multiplicity 8)
Ge  0.182  0.258  0.039 (multiplicity 8)
Te  0.087  0.138  0.925 (multiplicity 8)
Te  0.125  0.420  0.979 (multiplicity 8)
Te  0.188  0.234  0.290 (multiplicity 8)